No. 1
# Rb2CuH4C4O10
Simulated XRD peak list, Cu Ka. Input: the PBE geometry in Alexandria.

Peak list (10 most intense, 2θ = 15–90°, by angle)
18.18°, I = 1000; 25.42°, I = 668; 26.36°, I = 416; 26.96°, I = 355; 27.29°, I = 587; 29.28°, I = 418; 32.19°, I = 437; 32.49°, I = 461; 46.87°, I = 361; 47.79°, I = 387

Structure:
abc: 7.2155 8.9616 10.1772
angles: 109.00 105.57 94.14
Fractional positions:
Rb  0.1162  0.3370  0.3510
Rb  0.2431  0.3731  0.9897
Rb  0.7569  0.6269  0.0103
Rb  0.8838  0.6630  0.6490
Cu  0.0000  0.0000  0.0000
Cu  0.5000  0.0000  0.5000
H  0.0104  0.9422  0.2981
H  0.2057  0.0173  0.7545
H  0.3359  0.7519  0.6656
H  0.3590  0.5751  0.6469
H  0.6410  0.4249  0.3531
H  0.6641  0.2481  0.3344
H  0.7943  0.9827  0.2455
H  0.9896  0.0578  0.7019
C  0.2380  0.7247  0.3232
C  0.2913  0.8242  0.0480
C  0.3811  0.0032  0.1443
C  0.4419  0.6759  0.3637
C  0.5581  0.3241  0.6363
C  0.6189  0.9968  0.8557
C  0.7087  0.1758  0.9520
C  0.7620  0.2753  0.6768
O  0.0771  0.0178  0.7705
O  0.0926  0.6215  0.2401
O  0.1083  0.8005  0.9738
O  0.2372  0.8768  0.3810
O  0.2652  0.6402  0.6127
O  0.2674  0.1049  0.1281
O  0.3921  0.7175  0.0483
O  0.4163  0.2098  0.5483
O  0.4490  0.9602  0.7687
O  0.4563  0.5320  0.3096
O  0.5437  0.4680  0.6904
O  0.5510  0.0398  0.2313
O  0.5837  0.7902  0.4517
O  0.6079  0.2825  0.9517
O  0.7326  0.8951  0.8719
O  0.7348  0.3598  0.3873
O  0.7628  0.1232  0.6190
O  0.8917  0.1995  0.0262
O  0.9074  0.3785  0.7599
O  0.9229  0.9822  0.2295

No. 2
# TlCuHCO4
Simulated XRD peak list, Cu Ka. Input: the PBE geometry in Alexandria.

Peak list (10 most intense, 2θ = 15–90°, by angle)
15.25°, I = 590; 23.05°, I = 1000; 26.57°, I = 244; 27.75°, I = 434; 30.51°, I = 398; 30.77°, I = 633; 34.76°, I = 491; 38.79°, I = 252; 47.09°, I = 186; 49.79°, I = 305

Structure:
abc: 11.6222 11.6222 6.0134
angles: 90.00 90.00 120.00
Fractional positions:
Tl  0.1402  0.2929  0.2500
Tl  0.1528  0.8598  0.2500
Tl  0.2929  0.1528  0.7500
Tl  0.7071  0.8472  0.2500
Tl  0.8472  0.1402  0.7500
Tl  0.8598  0.7071  0.7500
Cu  0.0000  0.5000  0.0000
Cu  0.0000  0.5000  0.5000
Cu  0.5000  0.0000  0.0000
Cu  0.5000  0.0000  0.5000
Cu  0.5000  0.5000  0.0000
Cu  0.5000  0.5000  0.5000
H  0.1863  0.5907  0.2500
H  0.4044  0.8137  0.2500
H  0.4093  0.5956  0.2500
H  0.5907  0.4044  0.7500
H  0.5956  0.1863  0.7500
H  0.8137  0.4093  0.7500
C  0.1764  0.7515  0.7500
C  0.2485  0.4249  0.7500
C  0.4249  0.1764  0.2500
C  0.5751  0.8236  0.7500
C  0.7515  0.5751  0.2500
C  0.8236  0.2485  0.2500
O  0.1068  0.5029  0.2500
O  0.1232  0.3756  0.7500
O  0.1363  0.6870  0.5601
O  0.1363  0.6870  0.9399
O  0.2524  0.8768  0.7500
O  0.3130  0.4493  0.5601
O  0.3130  0.4493  0.9399
O  0.3756  0.2524  0.2500
O  0.3962  0.8932  0.2500
O  0.4493  0.1363  0.0601
O  0.4493  0.1363  0.4399
O  0.4971  0.6038  0.2500
O  0.5029  0.3962  0.7500
O  0.5507  0.8637  0.5601
O  0.5507  0.8637  0.9399
O  0.6038  0.1068  0.7500
O  0.6244  0.7476  0.7500
O  0.6870  0.5507  0.0601
O  0.6870  0.5507  0.4399
O  0.7476  0.1232  0.2500
O  0.8637  0.3130  0.0601
O  0.8637  0.3130  0.4399
O  0.8768  0.6244  0.2500
O  0.8932  0.4971  0.7500

No. 3
# U3Cu2H10C2O20
Simulated XRD peak list, Cu Ka. Input: the PBE geometry in Alexandria.

Peak list (10 most intense, 2θ = 15–90°, by angle)
15.94°, I = 1000; 21.47°, I = 163; 25.29°, I = 218; 25.64°, I = 214; 26.95°, I = 272; 27.11°, I = 163; 27.54°, I = 198; 27.66°, I = 138; 29.46°, I = 165; 29.69°, I = 178

Structure:
abc: 6.9935 7.8399 7.9268
angles: 89.81 84.06 87.69
Fractional positions:
U  0.0000  0.0000  0.0000
U  0.4755  0.1941  0.1363
U  0.5245  0.8059  0.8637
Cu  0.2610  0.5091  0.4956
Cu  0.7390  0.4909  0.5044
H  0.1564  0.7798  0.3259
H  0.1871  0.2334  0.6767
H  0.3280  0.1863  0.5074
H  0.3564  0.8189  0.3897
H  0.4617  0.5375  0.2278
H  0.5383  0.4625  0.7722
H  0.6436  0.1811  0.6103
H  0.6720  0.8137  0.4926
H  0.8129  0.7666  0.3233
H  0.8436  0.2202  0.6741
C  0.0385  0.6884  0.7717
C  0.9615  0.3116  0.2283
O  0.0042  0.1392  0.8074
O  0.0451  0.5634  0.6681
O  0.1249  0.2502  0.1549
O  0.1878  0.7650  0.8135
O  0.2415  0.7518  0.4166
O  0.2916  0.2764  0.5945
O  0.3157  0.0048  0.9917
O  0.4326  0.0687  0.3346
O  0.4426  0.4381  0.3054
O  0.4902  0.6741  0.0542
O  0.5098  0.3259  0.9458
O  0.5574  0.5619  0.6946
O  0.5674  0.9313  0.6654
O  0.6843  0.9952  0.0083
O  0.7084  0.7236  0.4055
O  0.7585  0.2482  0.5834
O  0.8122  0.2350  0.1865
O  0.8751  0.7498  0.8451
O  0.9549  0.4366  0.3319
O  0.9958  0.8608  0.1926

No. 4
# Hf3CuC
Simulated XRD peak list, Cu Ka. Input: the PBE geometry in Alexandria.

Peak list (10 most intense, 2θ = 15–90°, by angle)
34.31°, I = 848; 34.68°, I = 1000; 36.09°, I = 513; 37.54°, I = 682; 37.87°, I = 401; 41.69°, I = 383; 55.27°, I = 217; 58.56°, I = 247; 64.60°, I = 294; 66.69°, I = 251

Structure:
abc: 5.8709 5.8709 8.8523
angles: 90.00 90.00 147.11
Fractional positions:
Hf  0.0588  0.9412  0.7500
Hf  0.3707  0.6293  0.5576
Hf  0.3707  0.6293  0.9424
Hf  0.6293  0.3707  0.0576
Hf  0.6293  0.3707  0.4424
Hf  0.9412  0.0588  0.2500
Cu  0.2502  0.7498  0.2500
Cu  0.7498  0.2502  0.7500
C  0.0000  0.0000  0.0000
C  0.0000  0.0000  0.5000

No. 5
# InCuCSe2
Simulated XRD peak list, Cu Ka. Input: the PBE geometry in Alexandria.

Peak list (10 most intense, 2θ = 15–90°, by angle)
35.31°, I = 1000; 36.88°, I = 500; 48.35°, I = 112; 53.15°, I = 167; 62.33°, I = 208; 65.43°, I = 323; 74.67°, I = 124; 78.50°, I = 51; 81.65°, I = 85; 89.11°, I = 73

Structure:
abc: 4.8740 4.8740 3.7647
angles: 90.00 90.00 90.00
Fractional positions:
In  0.0000  0.0000  0.0000
Cu  0.5000  0.5000  0.0000
C  0.5000  0.5000  0.5000
Se  0.0000  0.5000  0.5000
Se  0.5000  0.0000  0.5000

No. 6
# KCuC2
Simulated XRD peak list, Cu Ka. Input: the PBE geometry in Alexandria.

Peak list (10 most intense, 2θ = 15–90°, by angle)
18.05°, I = 116; 25.63°, I = 483; 29.31°, I = 1000; 36.56°, I = 302; 47.53°, I = 399; 54.10°, I = 117; 59.47°, I = 109; 60.79°, I = 119; 61.42°, I = 126; 73.64°, I = 120

Structure:
abc: 4.9153 4.9153 7.7673
angles: 90.00 90.00 90.00
Fractional positions:
K  0.0000  0.0000  0.2500
K  0.0000  0.0000  0.7500
Cu  0.5000  0.5000  0.0000
Cu  0.5000  0.5000  0.5000
C  0.1276  0.5000  0.0000
C  0.5000  0.1276  0.5000
C  0.5000  0.8724  0.5000
C  0.8724  0.5000  0.0000

No. 7
# K3CuC4N4
Simulated XRD peak list, Cu Ka. Input: the PBE geometry in Alexandria.

Peak list (10 most intense, 2θ = 15–90°, by angle)
23.22°, I = 1000; 28.04°, I = 417; 29.49°, I = 451; 31.33°, I = 552; 36.33°, I = 434; 38.24°, I = 312; 43.56°, I = 168; 46.51°, I = 215; 47.46°, I = 178; 48.71°, I = 183

Structure:
abc: 8.0766 8.0766 8.0766
angles: 75.53 75.53 75.53
Fractional positions:
K  0.1086  0.2745  0.6169
K  0.1169  0.7745  0.6086
K  0.2745  0.6169  0.1086
K  0.6086  0.1169  0.7745
K  0.6169  0.1086  0.2745
K  0.7745  0.6086  0.1169
Cu  0.1067  0.1067  0.1067
Cu  0.6067  0.6067  0.6067
C  0.1164  0.3417  0.9733
C  0.3417  0.9733  0.1164
C  0.4733  0.8417  0.6164
C  0.4921  0.4921  0.4921
C  0.6164  0.4733  0.8417
C  0.8417  0.6164  0.4733
C  0.9733  0.1164  0.3417
C  0.9921  0.9921  0.9921
N  0.1146  0.4849  0.8897
N  0.3897  0.9849  0.6146
N  0.4230  0.4230  0.4230
N  0.4849  0.8897  0.1146
N  0.6146  0.3897  0.9849
N  0.8897  0.1146  0.4849
N  0.9230  0.9230  0.9230
N  0.9849  0.6146  0.3897

No. 8
# K5CuCO5
Simulated XRD peak list, Cu Ka. Input: the PBE geometry in Alexandria.

Peak list (10 most intense, 2θ = 15–90°, by angle)
16.36°, I = 201; 19.60°, I = 289; 27.96°, I = 179; 28.59°, I = 165; 31.01°, I = 1000; 33.06°, I = 283; 34.15°, I = 242; 37.35°, I = 194; 38.09°, I = 225; 40.30°, I = 153

Structure:
abc: 8.9522 7.5448 7.5448
angles: 91.80 90.00 90.00
Fractional positions:
K  0.0000  0.0000  0.0000
K  0.0000  0.5000  0.5000
K  0.2506  0.3034  0.2101
K  0.2506  0.7101  0.8034
K  0.2667  0.8041  0.3041
K  0.2865  0.1830  0.6830
K  0.7135  0.6830  0.1830
K  0.7333  0.3041  0.8041
K  0.7494  0.2101  0.3034
K  0.7494  0.8034  0.7101
Cu  0.5000  0.0061  0.0061
Cu  0.5000  0.5061  0.5061
C  0.0108  0.0218  0.5218
C  0.9892  0.5218  0.0218
O  0.0660  0.0860  0.3774
O  0.0660  0.8774  0.5860
O  0.0981  0.6046  0.1046
O  0.2990  0.0226  0.9885
O  0.2990  0.4885  0.5226
O  0.7010  0.5226  0.4885
O  0.7010  0.9885  0.0226
O  0.9019  0.1046  0.6046
O  0.9340  0.3774  0.0860
O  0.9340  0.5860  0.8774

No. 9
# K2CuC2O6
Simulated XRD peak list, Cu Ka. Input: the PBE geometry in Alexandria.

Peak list (10 most intense, 2θ = 15–90°, by angle)
16.79°, I = 855; 25.14°, I = 229; 27.44°, I = 257; 29.81°, I = 231; 30.18°, I = 1000; 30.95°, I = 624; 32.30°, I = 565; 38.93°, I = 222; 47.17°, I = 226; 52.76°, I = 237

Structure:
abc: 9.4530 6.6238 10.6550
angles: 61.18 37.87 80.95
Fractional positions:
K  0.2173  0.7827  0.3820
K  0.6320  0.8680  0.4673
K  0.7827  0.2173  0.6180
K  0.8680  0.6320  0.0327
Cu  0.1912  0.1912  0.8088
Cu  0.4412  0.4412  0.0588
C  0.1925  0.2899  0.0502
C  0.1998  0.7826  0.0575
C  0.2899  0.1925  0.4674
C  0.7826  0.1998  0.9601
O  0.0058  0.3555  0.7999
O  0.0410  0.1032  0.2756
O  0.1032  0.0410  0.5802
O  0.1378  0.3412  0.9590
O  0.2910  0.6880  0.1122
O  0.3412  0.1378  0.5620
O  0.3555  0.0058  0.8388
O  0.4112  0.4501  0.8945
O  0.4501  0.4112  0.2442
O  0.6698  0.9744  0.1468
O  0.6880  0.2910  0.9088
O  0.9744  0.6698  0.2090

No. 10
# LaCuC
Simulated XRD peak list, Cu Ka. Input: the PBE geometry in Alexandria.

Peak list (10 most intense, 2θ = 15–90°, by angle)
24.66°, I = 529; 27.33°, I = 996; 27.89°, I = 1000; 31.87°, I = 608; 33.30°, I = 381; 35.42°, I = 817; 36.59°, I = 486; 37.86°, I = 654; 39.26°, I = 772; 53.89°, I = 408

Structure:
abc: 4.5963 5.0680 5.5436
angles: 90.00 111.91 90.00
Fractional positions:
La  0.0000  0.0000  0.0000
La  0.2943  0.5000  0.5424
Cu  0.6202  0.5000  0.1580
Cu  0.6955  0.0000  0.3991
C  0.1358  0.0000  0.5758
C  0.4350  0.0000  0.6082